# 1
Theoretical powder diffraction line list
Compound: K3MnF7
Radiation: Cu Kα, 1.54184 Å
Structure: the PBE+U geometry in Alexandria
No peak broadening, texture or thermal motion is included.

Crystal structure
a = 7.9338 Å, b = 7.9338 Å, c = 5.7226 Å
α = 90.00°, β = 90.00°, γ = 90.00°
Space group P4/mbm (No. 127)
Asymmetric unit:
K  0.0000  0.0000  0.0000 [2 per cell]
K  0.1911  0.3089  0.5000 [4 per cell]
Mn  0.0000  0.5000  0.0000 [2 per cell]
F  0.0000  0.0000  0.5000 [2 per cell]
F  0.1137  0.6137  0.2322 [8 per cell]
F  0.1642  0.3358  0.0000 [4 per cell]

Largest 8 diffraction maxima, low angle first, 10° ≤ 2θ ≤ 90°:
2θ 15.80, d 5.610, I 53, hkl 1 1 0
2θ 27.36, d 3.260, I 100, hkl 2 0 1
2θ 31.26, d 2.861, I 31, hkl 0 0 2
2θ 31.90, d 2.805, I 68, hkl 2 2 0
2θ 35.79, d 2.509, I 23, hkl 3 1 0
2θ 40.50, d 2.227, I 76, hkl 2 1 2
2θ 45.27, d 2.003, I 44, hkl 2 2 2
2θ 56.45, d 1.630, I 22, hkl 4 0 2



# 2
Theoretical powder diffraction line list
Compound: KMn2F
Radiation: Cu Kα, 1.54184 Å
Structure: the PBE+U geometry in Alexandria
No peak broadening, texture or thermal motion is included.

Crystal structure
a = 7.0367 Å, b = 7.0367 Å, c = 10.5064 Å
α = 90.00°, β = 90.00°, γ = 90.00°
Space group I4_1/amd (No. 141, origin choice 2)
Asymmetric unit:
K  0.0000  0.2500  0.3750 [4 per cell]
Mn  0.0000  0.0000  0.0000 [8 per cell]
F  0.0000  0.2500  0.8750 [4 per cell]

Largest 8 diffraction maxima, low angle first, 10° ≤ 2θ ≤ 90°:
2θ 15.15, d 5.847, I 78, hkl 1 0 1
2θ 24.64, d 3.612, I 54, hkl 1 1 2
2θ 25.31, d 3.518, I 25, hkl 2 0 0
2θ 28.47, d 3.135, I 48, hkl 1 0 3
2θ 29.63, d 3.015, I 87, hkl 2 1 1
2θ 30.58, d 2.923, I 100, hkl 2 0 2
2θ 50.53, d 1.806, I 51, hkl 2 2 4
2θ 51.98, d 1.759, I 23, hkl 4 0 0



# 3
Theoretical powder diffraction line list
Compound: KNaMn2F6
Radiation: Cu Kα, 1.54184 Å
Structure: the PBE+U geometry in Alexandria
No peak broadening, texture or thermal motion is included.

Crystal structure
a = 8.3129 Å, b = 8.2534 Å, c = 5.8713 Å
α = 90.00°, β = 134.16°, γ = 90.00°
Space group Cm (No. 8)
Asymmetric unit:
K  0.0000  0.0000  0.0000 [2 per cell]
Na  0.0224  0.5000  0.9860 [2 per cell]
Mn  0.4965  0.2487  0.4880 [4 per cell]
F  0.0009  0.5000  0.3740 [2 per cell]
F  0.2328  0.2941  0.9884 [4 per cell]
F  0.2648  0.1896  0.5288 [4 per cell]
F  0.4542  0.5000  0.5184 [2 per cell]

Largest 8 diffraction maxima, low angle first, 10° ≤ 2θ ≤ 90°:
2θ 21.09, d 4.212, I 29, hkl 0 0 1
2θ 29.97, d 2.982, I 32, hkl 2 0 0
2θ 30.32, d 2.948, I 66, hkl 0 2 1
2θ 30.51, d 2.930, I 100, hkl 2 2 -1
2θ 42.95, d 2.106, I 45, hkl 0 0 2
2θ 43.55, d 2.078, I 37, hkl 4 0 -2
2θ 43.88, d 2.063, I 32, hkl 0 4 0
2θ 54.32, d 1.689, I 36, hkl 4 2 -3



# 4
Theoretical powder diffraction line list
Compound: KMnPO3F3
Radiation: Cu Kα, 1.54184 Å
Structure: the PBE+U geometry in Alexandria
No peak broadening, texture or thermal motion is included.

Crystal structure
a = 5.4887 Å, b = 12.9117 Å, c = 7.8676 Å
α = 90.00°, β = 114.19°, γ = 90.00°
Space group P2_1/c (No. 14)
Asymmetric unit:
K  0.1543  0.2012  0.1945 [4 per cell]
Mn  0.0000  0.0000  0.5000 [2 per cell]
Mn  0.5000  0.0000  0.0000 [2 per cell]
P  0.3755  0.6058  0.8160 [4 per cell]
O  0.1881  0.6027  0.9160 [4 per cell]
O  0.3047  0.5260  0.6587 [4 per cell]
O  0.3311  0.1143  0.5555 [4 per cell]
F  0.1638  0.5552  0.2449 [4 per cell]
F  0.2959  0.7159  0.7116 [4 per cell]
F  0.3603  0.1339  0.9598 [4 per cell]

Largest 8 diffraction maxima, low angle first, 10° ≤ 2θ ≤ 90°:
2θ 13.72, d 6.456, I 63, hkl 0 2 0
2θ 26.46, d 3.369, I 75, hkl 1 1 1
2θ 26.82, d 3.324, I 100, hkl 1 3 -1
2θ 28.46, d 3.136, I 47, hkl 0 2 2
2θ 29.09, d 3.070, I 41, hkl 1 2 1
2θ 31.75, d 2.818, I 26, hkl 1 3 -2
2θ 34.26, d 2.617, I 28, hkl 2 0 -2
2θ 35.00, d 2.564, I 44, hkl 1 1 -3



# 5
Theoretical powder diffraction line list
Compound: K2Mn2P2O7F2
Radiation: Cu Kα, 1.54184 Å
Structure: the PBE+U geometry in Alexandria
No peak broadening, texture or thermal motion is included.

Crystal structure
a = 6.9928 Å, b = 11.4653 Å, c = 10.8002 Å
α = 90.00°, β = 90.00°, γ = 90.00°
Space group Pbcn (No. 60)
Asymmetric unit:
K  0.0009  0.1738  0.0631 [8 per cell]
Mn  0.0000  0.3338  0.7500 [4 per cell]
Mn  0.0000  0.5000  0.0000 [4 per cell]
P  0.2152  0.0774  0.7512 [8 per cell]
O  0.0000  0.0179  0.7500 [4 per cell]
O  0.1743  0.4864  0.6734 [8 per cell]
O  0.2005  0.1970  0.6887 [8 per cell]
O  0.2245  0.4159  0.3870 [8 per cell]
F  0.1180  0.3439  0.9288 [8 per cell]

Largest 8 diffraction maxima, low angle first, 10° ≤ 2θ ≤ 90°:
2θ 14.84, d 5.970, I 34, hkl 1 1 0
2θ 16.97, d 5.225, I 48, hkl 1 1 1
2θ 28.96, d 3.083, I 60, hkl 1 1 3
2θ 30.46, d 2.935, I 36, hkl 2 0 2
2θ 31.08, d 2.877, I 98, hkl 2 2 1
2θ 31.40, d 2.849, I 100, hkl 1 3 2
2θ 32.31, d 2.770, I 35, hkl 0 4 1
2θ 48.78, d 1.867, I 60, hkl 3 3 2



# 6
Theoretical powder diffraction line list
Compound: K3RbMn2F12
Radiation: Cu Kα, 1.54184 Å
Structure: the PBE+U geometry in Alexandria
No peak broadening, texture or thermal motion is included.

Crystal structure
a = 5.9729 Å, b = 5.9729 Å, c = 8.4344 Å
α = 90.00°, β = 90.00°, γ = 90.00°
Space group P-4m2 (No. 115)
Asymmetric unit:
K  0.0000  0.0000  0.0000 [1 per cell]
K  0.0000  0.0000  0.5000 [1 per cell]
K  0.5000  0.5000  0.0000 [1 per cell]
Rb  0.5000  0.5000  0.5000 [1 per cell]
Mn  0.0000  0.5000  0.2440 [2 per cell]
F  0.0000  0.5000  0.0253 [2 per cell]
F  0.0000  0.5000  0.4636 [2 per cell]
F  0.2178  0.2801  0.2438 [8 per cell]

Largest 8 diffraction maxima, low angle first, 10° ≤ 2θ ≤ 90°:
2θ 18.20, d 4.874, I 100, hkl 1 0 1
2θ 29.93, d 2.985, I 98, hkl 2 0 0
2θ 35.26, d 2.546, I 23, hkl 2 1 1
2θ 36.88, d 2.437, I 56, hkl 2 0 2
2θ 42.84, d 2.111, I 75, hkl 2 2 0
2θ 53.15, d 1.723, I 31, hkl 2 0 4
2θ 62.20, d 1.492, I 38, hkl 4 0 0
2θ 86.21, d 1.128, I 20, hkl 5 1 2



# 7
Theoretical powder diffraction line list
Compound: KMnSbF6
Radiation: Cu Kα, 1.54184 Å
Structure: the PBE+U geometry in Alexandria
No peak broadening, texture or thermal motion is included.

Crystal structure
a = 5.9768 Å, b = 5.9768 Å, c = 5.0205 Å
α = 90.00°, β = 90.00°, γ = 120.00°
Space group P3 (No. 143)
Asymmetric unit:
K  0.0000  0.0000  0.0000 [1 per cell]
Mn  0.3333  0.6667  0.4380 [1 per cell]
Sb  0.6667  0.3333  0.5061 [1 per cell]
F  0.0428  0.3452  0.6408 [3 per cell]
F  0.4280  0.3899  0.2356 [3 per cell]

Largest 8 diffraction maxima, low angle first, 10° ≤ 2θ ≤ 90°:
2θ 17.13, d 5.176, I 41, hkl 1 0 0
2θ 17.67, d 5.021, I 55, hkl 0 0 1
2θ 24.70, d 3.604, I 100, hkl 0 1 1
2θ 29.90, d 2.988, I 44, hkl 1 1 0
2θ 34.94, d 2.568, I 43, hkl 2 -1 1
2θ 39.16, d 2.300, I 38, hkl 2 0 1
2θ 47.29, d 1.922, I 49, hkl 2 -1 2
2θ 50.04, d 1.823, I 31, hkl 3 -2 1



# 8
Theoretical powder diffraction line list
Compound: K2YMnF6
Radiation: Cu Kα, 1.54184 Å
Structure: the PBE+U geometry in Alexandria
No peak broadening, texture or thermal motion is included.

Crystal structure
a = 6.3919 Å, b = 6.3919 Å, c = 15.6396 Å
α = 90.00°, β = 90.00°, γ = 120.00°
Space group R-3m (No. 166, hexagonal axes)
Asymmetric unit:
K  0.0000  0.0000  0.2499 [6 per cell]
Y  0.0000  0.0000  0.0000 [3 per cell]
Mn  0.0000  0.0000  0.5000 [3 per cell]
F  0.0079  0.5039  0.7483 [18 per cell]

Largest 8 diffraction maxima, low angle first, 10° ≤ 2θ ≤ 90°:
2θ 19.65, d 4.518, I 37, hkl 0 1 2
2θ 27.93, d 3.195, I 100, hkl 1 1 0
2θ 39.91, d 2.259, I 61, hkl 0 2 4
2θ 44.86, d 2.021, I 16, hkl 1 2 2
2θ 49.41, d 1.844, I 38, hkl 3 0 0
2θ 57.71, d 1.597, I 35, hkl 2 2 0
2θ 65.31, d 1.429, I 16, hkl 1 3 4
2θ 79.35, d 1.208, I 18, hkl 4 1 0



# 9
Theoretical powder diffraction line list
Compound: K3MoF6
Radiation: Cu Kα, 1.54184 Å
Structure: the PBE+U geometry in Alexandria
No peak broadening, texture or thermal motion is included.

Crystal structure
a = 8.0842 Å, b = 14.9986 Å, c = 6.9698 Å
α = 90.00°, β = 90.00°, γ = 90.00°
Space group Cmc2_1 (No. 36)
Asymmetric unit:
K  0.0000  0.2052  0.0000 [4 per cell]
K  0.2222  0.4128  0.8818 [8 per cell]
Mo  0.0000  0.3417  0.4290 [4 per cell]
F  0.0000  0.3124  0.7207 [4 per cell]
F  0.0000  0.3820  0.1393 [4 per cell]
F  0.1749  0.2458  0.3552 [8 per cell]
F  0.2079  0.4259  0.4983 [8 per cell]

Largest 8 diffraction maxima, low angle first, 10° ≤ 2θ ≤ 90°:
2θ 11.80, d 7.499, I 33, hkl 0 2 0
2θ 12.44, d 7.116, I 100, hkl 1 1 0
2θ 17.81, d 4.979, I 34, hkl 1 1 1
2θ 20.89, d 4.252, I 36, hkl 1 3 0
2θ 25.03, d 3.558, I 38, hkl 2 2 0
2θ 25.56, d 3.485, I 54, hkl 0 0 2
2θ 27.00, d 3.302, I 35, hkl 0 4 1
2θ 28.16, d 3.169, I 82, hkl 2 2 1



# 10
Theoretical powder diffraction line list
Compound: KMo2F11
Radiation: Cu Kα, 1.54184 Å
Structure: the PBE+U geometry in Alexandria
No peak broadening, texture or thermal motion is included.

Crystal structure
a = 9.5227 Å, b = 9.7086 Å, c = 11.0759 Å
α = 90.00°, β = 90.00°, γ = 90.00°
Space group Ibam (No. 72)
Asymmetric unit:
K  0.0000  0.0000  0.2500 [4 per cell]
Mo  0.1511  0.3439  0.0000 [8 per cell]
F  0.0000  0.5000  0.0000 [4 per cell]
F  0.0448  0.2478  0.1192 [16 per cell]
F  0.2137  0.2977  0.5000 [8 per cell]
F  0.2458  0.0559  0.3811 [16 per cell]

Largest 8 diffraction maxima, low angle first, 10° ≤ 2θ ≤ 90°:
2θ 16.00, d 5.538, I 100, hkl 0 0 2
2θ 20.69, d 4.294, I 70, hkl 1 1 2
2θ 22.06, d 4.029, I 95, hkl 1 2 1
2θ 22.29, d 3.988, I 98, hkl 2 1 1
2θ 24.38, d 3.650, I 24, hkl 0 2 2
2θ 24.66, d 3.610, I 20, hkl 2 0 2
2θ 42.09, d 2.147, I 34, hkl 2 2 4
2θ 43.13, d 2.097, I 40, hkl 3 3 2